For In12Se19N2, a cell relaxed with GGA-PBE gives the calculated powder diffractogram in this record (Cu Kα, 1.54184 Å).
Neutral-atom scattering factors, no anomalous dispersion.

Atomic structure:
```
data_In12Se19N2
_cell_length_a 10.066
_cell_length_b 10.066
_cell_length_c 10.066
_cell_angle_alpha 87.60
_cell_angle_beta 87.60
_cell_angle_gamma 87.60
_space_group_name_H-M_alt 'P 1'
_space_group_IT_number 1
loop_
_space_group_symop_operation_xyz
'x,y,z'
loop_
_atom_site_label
_atom_site_type_symbol
_atom_site_fract_x
_atom_site_fract_y
_atom_site_fract_z
In1 In 0.032 0.660 0.086
In2 In 0.086 0.032 0.660
In3 In 0.201 0.628 0.723
In4 In 0.277 0.799 0.372
In5 In 0.340 0.914 0.968
In6 In 0.372 0.277 0.799
In7 In 0.628 0.723 0.201
In8 In 0.660 0.086 0.032
In9 In 0.723 0.201 0.628
In10 In 0.799 0.372 0.277
In11 In 0.914 0.968 0.340
In12 In 0.968 0.340 0.914
Se1 Se 0.000 0.000 0.000
Se2 Se 0.040 0.381 0.154
Se3 Se 0.123 0.284 0.707
Se4 Se 0.154 0.040 0.381
Se5 Se 0.161 0.594 0.476
Se6 Se 0.284 0.707 0.123
Se7 Se 0.293 0.877 0.716
Se8 Se 0.381 0.154 0.040
Se9 Se 0.406 0.524 0.839
Se10 Se 0.476 0.161 0.594
Se11 Se 0.524 0.839 0.406
Se12 Se 0.594 0.476 0.161
Se13 Se 0.619 0.846 0.960
Se14 Se 0.707 0.123 0.284
Se15 Se 0.716 0.293 0.877
Se16 Se 0.839 0.406 0.524
Se17 Se 0.846 0.960 0.619
Se18 Se 0.877 0.716 0.293
Se19 Se 0.960 0.619 0.846
N1 N 0.343 0.343 0.343
N2 N 0.657 0.657 0.657
```

Principal peaks in the range 10 to 90 degrees two-theta, sorted by position:
Position (°2θ)	intensity
12.7	60
25.6	30
27.7	100
28.4	58
33.3	24
45.7	31